# Mg14ZnSiO16
Simulated powder X-ray diffraction pattern, CuKα. Input: a cell relaxed with GGA-PBE.
Kinematic intensities with the Lorentz-polarization factor, no thermal factor.

Cell and atoms:
Unit cell a=4.2987 b=8.5739 c=8.6085 alpha=90.00 beta=90.00 gamma=90.00
Space group Pmmm (No. 47)
One atom of each set of equivalent atoms:
Mg 0.0000 0.0000 0.0000 x1
Mg 0.0000 0.2483 0.2484 x4
Mg 0.0000 0.5000 0.0000 x1
Mg 0.5000 0.0000 0.2501 x2
Mg 0.5000 0.2468 0.5000 x2
Mg 0.5000 0.2497 0.0000 x2
Mg 0.5000 0.5000 0.2470 x2
Zn 0.0000 0.0000 0.5000 x1
Si 0.0000 0.5000 0.5000 x1
O 0.0000 0.0000 0.2436 x2
O 0.0000 0.2431 0.5000 x2
O 0.0000 0.2491 0.0000 x2
O 0.0000 0.5000 0.2388 x2
O 0.5000 0.0000 0.0000 x1
O 0.5000 0.0000 0.5000 x1
O 0.5000 0.2504 0.2516 x4
O 0.5000 0.5000 0.0000 x1
O 0.5000 0.5000 0.5000 x1

Principal peaks in the range 2θ = 10–90°, by intensity:
| h k l | 2θ/deg | intensity |
| --- | --- | --- |
| 2 0 0 | 42.01 | 100 |
| 2 0 4 | 60.96 | 57 |
| 0 4 0 | 42.16 | 49 |
| 2 4 0 | 61.05 | 28 |
| 2 4 4 | 76.86 | 26 |
| 1 2 2 | 36.21 | 23 |